Simulated PXRD pattern of Al2CoO4 for a wavelength of 1.5418 Å, from the PBE+U geometry in the Materials Project.

Main lines, low angle first (5° ≤ 2θ ≤ 70°):
Position (°2θ)  d (Å)  I_rel  index
18.78  4.724  1  1 1 1
30.91  2.893  71  2 2 0
36.42  2.467  100  3 1 1
44.28  2.046  8  4 0 0
48.50  1.877  8  3 3 1
54.98  1.670  22  4 2 2
58.63  1.575  43  5 1 1
64.41  1.446  50  4 4 0

Atomic structure:
Lattice parameters (Å, degrees): 8.182 8.182 8.182 90.00 90.00 90.00
Space group Fd-3m (No. 227, origin choice 2)
Unique sites:
Al (0.000, 0.000, 0.000) x16
Co (0.125, 0.125, 0.625) x8
O (0.014, 0.014, 0.236) x32

Simulated PXRD pattern of Al2CoO4 for a wavelength of 1.5418 Å, from the PBE+U geometry in the Materials Project.

Main lines, low angle first (5° ≤ 2θ ≤ 70°):
Position (°2θ)  d (Å)  I_rel  index
30.90  2.894  24  1 1 -4
30.95  2.889  54  3 1 0
36.34  2.472  52  2 0 -5
36.52  2.460  100  3 1 3
55.11  1.666  19  1 1 8
58.46  1.579  19  5 1 -5
58.83  1.570  37  4 2 5
64.42  1.446  51  6 2 0
64.62  1.442  13  0 4 0
64.69  1.441  12  4 0 8

Atomic structure:
Lattice parameters (Å, degrees): 10.024 5.769 14.159 90.00 90.40 90.00
Space group Cm (No. 8)
Unique sites:
Al (0.000, 0.000, 0.000) x2
Al (0.001, 0.500, 0.499) x2
Al (0.002, 0.500, 0.123) x2
Al (0.084, 0.246, 0.333) x4
Al (0.167, 0.500, 0.666) x2
Al (0.253, 0.251, 0.000) x4
Al (0.331, 0.000, 0.333) x2
Al (0.334, 0.500, 0.832) x2
Al (0.418, 0.250, 0.666) x4
Co (0.001, 0.500, 0.874) x2
Co (0.167, 0.000, 0.168) x2
Co (0.168, 0.000, 0.542) x2
Co (0.168, 0.000, 0.793) x2
Co (0.333, 0.500, 0.210) x2
Co (0.334, 0.500, 0.455) x2
O (0.000, 0.500, 0.252) x2
O (0.001, 0.500, 0.735) x2
O (0.010, 0.000, 0.264) x2
O (0.074, 0.279, 0.588) x4
O (0.088, 0.245, 0.076) x4
O (0.146, 0.500, 0.410) x2
O (0.167, 0.000, 0.935) x2
O (0.168, 0.000, 0.404) x2
O (0.188, 0.500, 0.920) x2
O (0.241, 0.227, 0.260) x4
O (0.261, 0.278, 0.745) x4
O (0.334, 0.500, 0.596) x2
O (0.335, 0.500, 0.069) x2
O (0.336, 0.000, 0.072) x2
O (0.354, 0.000, 0.588) x2
O (0.408, 0.280, 0.920) x4
O (0.428, 0.218, 0.410) x4
O (0.482, 0.500, 0.745) x2

Simulated PXRD pattern of AlCo2O4 for a wavelength of 1.5418 Å, from the PBE+U geometry in the Materials Project.

Main lines, low angle first (5° ≤ 2θ ≤ 70°):
Position (°2θ)  d (Å)  I_rel  index
19.41  4.574  58  1 1 -1
32.22  2.778  58  1 3 -1
39.40  2.287  100  2 2 0
40.07  2.250  41  1 1 -2
40.21  2.243  40  3 1 -1
49.33  1.847  29  1 5 0
60.75  1.525  17  3 3 -3
63.25  1.470  21  0 4 2
63.47  1.466  21  4 4 -2
67.41  1.389  17  2 6 -2

Atomic structure:
Lattice parameters (Å, degrees): 7.277 9.893 5.156 90.00 134.83 90.00
Space group C2/c (No. 15)
Unique sites:
Al (0.000, 0.122, 0.250) x4
Co (0.000, 0.500, 0.000) x4
Co (0.250, 0.250, 0.000) x4
O (0.190, 0.089, 0.744) x8
O (0.197, 0.340, 0.638) x8